Record 1
The following is a calculated X-ray powder pattern of AgPbI6. It was derived from the GGA-PBE geometry in OQMD, using copper Kα.
Intensities are scaled so that the largest is 100.

The 10 most intense peaks (2θ from 10° to 80°), sorted by position:
Position (°2θ), d_spacing, I (rel.), h k l
14.05, 6.304, 35, 1 1 1
27.09, 3.292, 27, 3 1 1
28.32, 3.152, 100, 2 2 2
32.81, 2.730, 82, 4 0 0
35.85, 2.505, 15, 3 3 1
47.08, 1.930, 59, 4 4 0
55.86, 1.646, 44, 6 2 2
58.57, 1.576, 20, 4 4 4
75.98, 1.252, 18, 6 6 2
78.33, 1.221, 26, 8 4 0

Cell and atoms:
Cell: 10.9184 10.9184 10.9184 Å, 90.00 90.00 90.00°
Space group F-43m (No. 216)
Unique sites:
Ag  0.0000  0.0000  0.0000
Pb  0.2500  0.2500  0.2500
I  0.0000  0.0000  0.2556

Record 2
The following is a calculated X-ray powder pattern of GdY2In3Cu3. It was derived from the GGA-PBE geometry in OQMD, using copper Kα.
Intensities are scaled so that the largest is 100.

The 10 most intense peaks (2θ from 10° to 80°), sorted by position:
Position (°2θ), d_spacing, I (rel.), h k l
33.11, 2.706, 100, 1 0 2
35.93, 2.500, 77, 1 4 0
36.41, 2.468, 57, 0 1 3
41.50, 2.176, 29, 0 6 0
43.44, 2.083, 23, 1 4 2
46.74, 1.944, 22, 2 0 0
56.03, 1.641, 15, 1 2 4
60.65, 1.527, 25, 2 1 3
64.26, 1.450, 15, 2 6 0
66.96, 1.398, 28, 1 1 5

Cell and atoms:
Cell: 3.8872 13.0508 7.5412 Å, 90.00 90.00 90.00°
Space group Amm2 (No. 38)
Unique sites:
Gd  0.0000  0.0000  0.0000
Y  0.0000  0.2046  0.3859
In  0.5000  0.0000  0.3350
In  0.5000  0.1281  0.7174
Cu  0.0000  0.0000  0.5899
Cu  0.5000  0.1670  0.0899

Record 3
The following is a calculated X-ray powder pattern of KRbAg2P2. It was derived from the GGA-PBE geometry in OQMD, using copper Kα.
Intensities are scaled so that the largest is 100.

The 10 most intense peaks (2θ from 10° to 80°), sorted by position:
Position (°2θ), d_spacing, I (rel.), h k l
11.51, 7.687, 100, 0 0 1
30.42, 2.939, 90, 1 1 1
30.60, 2.922, 35, 1 0 2
35.02, 2.562, 17, 0 0 3
36.68, 2.450, 68, 1 1 2
40.10, 2.249, 48, 2 0 0
54.28, 1.690, 18, 2 0 3
55.90, 1.645, 23, 1 1 4
66.92, 1.398, 20, 3 1 1
70.62, 1.334, 18, 3 1 2

Cell and atoms:
Cell: 4.4972 4.4972 7.6873 Å, 90.00 90.00 90.00°
Space group P4mm (No. 99)
Unique sites:
K  0.0000  0.0000  0.0000
Rb  0.5000  0.5000  0.3122
Ag  0.0000  0.5000  0.6677
P  0.0000  0.0000  0.4934
P  0.5000  0.5000  0.8421

Record 4
The following is a calculated X-ray powder pattern of YTmSnC. It was derived from the GGA-PBE geometry in OQMD, using copper Kα.
Intensities are scaled so that the largest is 100.

The 10 most intense peaks (2θ from 10° to 80°), sorted by position:
Position (°2θ), d_spacing, I (rel.), h k l
16.91, 5.242, 4, 0 0 3
28.64, 3.117, 25, 1 0 0
33.45, 2.679, 100, 1 0 3
34.21, 2.621, 19, 0 0 6
45.20, 2.006, 18, 1 0 6
50.73, 1.800, 21, 1 1 0
60.77, 1.524, 18, 1 0 9
62.13, 1.494, 17, 2 0 3
62.62, 1.484, 21, 1 1 6
70.27, 1.340, 5, 2 0 6

Cell and atoms:
Cell: 3.5994 3.5994 15.7250 Å, 90.00 90.00 120.00°
Space group P-6m2 (No. 187)
Unique sites:
Y  0.0000  0.0000  0.1657
Tm  0.3333  0.6667  0.3344
Sn  0.0000  0.0000  0.5000
Sn  0.3333  0.6667  0.0000
C  0.6667  0.3333  0.2522

Record 5
The following is a calculated X-ray powder pattern of PrEr2Zn3CdIn2. It was derived from the GGA-PBE geometry in OQMD, using copper Kα.
Intensities are scaled so that the largest is 100.

The 10 most intense peaks (2θ from 10° to 80°), sorted by position:
Position (°2θ), d_spacing, I (rel.), h k l
28.76, 3.104, 13, 0 2 2
31.37, 2.851, 59, 1 3 1
31.74, 2.819, 38, 1 0 2
34.39, 2.608, 47, 1 4 0
34.84, 2.575, 100, 1 2 2
37.74, 2.384, 17, 0 5 1
38.05, 2.365, 16, 0 4 2
39.07, 2.306, 45, 2 0 0
43.75, 2.069, 14, 0 3 3
68.03, 1.378, 25, 3 2 2

Cell and atoms:
Cell: 4.6114 12.6472 7.1250 Å, 90.00 90.00 90.00°
Space group Amm2 (No. 38)
Unique sites:
Pr  0.0000  0.0000  0.0000
Er  0.0000  0.2150  0.6380
Zn  0.5000  0.0000  0.6625
Zn  0.5000  0.1161  0.3113
Cd  0.0000  0.0000  0.4414
In  0.5000  0.1710  0.9240

Record 6
The following is a calculated X-ray powder pattern of Hf3Zn2Pd. It was derived from the GGA-PBE geometry in OQMD, using copper Kα.
Intensities are scaled so that the largest is 100.

The 10 most intense peaks (2θ from 10° to 80°), sorted by position:
Position (°2θ), d_spacing, I (rel.), h k l
18.04, 4.918, 6, 0 0 2
28.23, 3.161, 17, 1 0 1
32.42, 2.762, 8, 1 0 2
38.13, 2.360, 56, 1 1 0
38.49, 2.339, 100, 1 0 3
53.84, 1.703, 4, 1 1 4
55.03, 1.669, 19, 2 0 0
56.11, 1.639, 6, 0 0 6
69.15, 1.359, 35, 2 1 3
69.86, 1.346, 13, 1 1 6

Cell and atoms:
Cell: 3.3377 3.3377 9.8355 Å, 90.00 90.00 90.00°
Space group P4mm (No. 99)
Unique sites:
Hf  0.0000  0.0000  0.0000
Hf  0.0000  0.0000  0.3378
Hf  0.5000  0.5000  0.8011
Zn  0.0000  0.0000  0.6333
Zn  0.5000  0.5000  0.1711
Pd  0.5000  0.5000  0.4930

Record 7
The following is a calculated X-ray powder pattern of Hf2ZrAs4Pd4. It was derived from the GGA-PBE geometry in OQMD, using copper Kα.
Intensities are scaled so that the largest is 100.

The 10 most intense peaks (2θ from 10° to 80°), sorted by position:
Position (°2θ), d_spacing, I (rel.), h k l
13.39, 6.612, 42, 1 0 0
28.81, 3.099, 27, 1 1 -1
35.22, 2.548, 40, 1 1 -2
35.32, 2.541, 22, 1 1 2
35.47, 2.531, 59, 2 1 0
37.39, 2.405, 100, 2 1 1
41.92, 2.155, 49, 0 1 3
44.26, 2.046, 22, 1 1 3
44.46, 2.038, 17, 2 0 -3
46.16, 1.967, 43, 0 2 0

Cell and atoms:
Cell: 6.6117 3.9334 7.7299 Å, 90.00 90.32 90.00°
Space group Pm (No. 6)
Unique sites:
Hf  0.0000  0.0000  0.0000
Hf  0.0772  0.5000  0.3752
Zr  0.5050  0.0000  0.8672
As  0.2872  0.5000  0.0601
As  0.3180  0.0000  0.5614
As  0.7806  0.5000  0.8044
As  0.7943  0.0000  0.3135
Pd  0.1791  0.5000  0.7450
Pd  0.3925  0.0000  0.2492
Pd  0.6941  0.5000  0.1275
Pd  0.9105  0.0000  0.6230

Record 8
The following is a calculated X-ray powder pattern of Ba2FeSb. It was derived from the GGA-PBE geometry in OQMD, using copper Kα.
Intensities are scaled so that the largest is 100.

The 10 most intense peaks (2θ from 10° to 80°), sorted by position:
Position (°2θ), d_spacing, I (rel.), h k l
19.31, 4.597, 6, 1 1 1
22.33, 3.981, 2, 2 0 0
31.78, 2.815, 100, 2 2 0
37.46, 2.401, 3, 3 1 1
45.57, 1.991, 18, 4 0 0
49.92, 1.827, 2, 3 3 1
56.63, 1.625, 37, 4 2 2
66.41, 1.408, 12, 4 4 0
69.89, 1.346, 1, 5 3 1
75.51, 1.259, 16, 6 2 0

Cell and atoms:
Cell: 7.9629 7.9629 7.9629 Å, 90.00 90.00 90.00°
Space group F-43m (No. 216)
Unique sites:
Ba  0.0000  0.0000  0.0000
Ba  0.2500  0.2500  0.2500
Fe  0.2500  0.2500  0.7500
Sb  0.0000  0.0000  0.5000

Record 9
The following is a calculated X-ray powder pattern of K2ReAg2Se4. It was derived from the GGA-PBE geometry in OQMD, using copper Kα.
Intensities are scaled so that the largest is 100.

The 10 most intense peaks (2θ from 10° to 80°), sorted by position:
Position (°2θ), d_spacing, I (rel.), h k l
13.20, 6.707, 100, 1 0 0
16.57, 5.349, 33, 0 1 1
19.07, 4.654, 20, 1 1 -1
26.60, 3.351, 22, 1 1 -3
28.77, 3.103, 55, 1 1 2
32.23, 2.777, 46, 1 2 0
39.94, 2.257, 49, 2 2 0
41.93, 2.155, 42, 1 2 -4
44.15, 2.051, 16, 0 2 4
50.59, 1.804, 27, 3 2 0

Cell and atoms:
Cell: 7.3523 6.1051 12.1664 Å, 90.00 114.19 90.00°
Space group P2/c (No. 13)
Unique sites:
K  0.0000  0.0000  0.0000
K  0.0000  0.4790  0.2500
Re  0.5000  0.2484  0.7500
Ag  0.4997  0.2492  0.0227
Se  0.2767  0.0362  0.8069
Se  0.2783  0.4651  0.5833

Record 10
The following is a calculated X-ray powder pattern of Dy2YEr2Lu2Fe2Te2. It was derived from the GGA-PBE geometry in OQMD, using copper Kα.
Intensities are scaled so that the largest is 100.

The 10 most intense peaks (2θ from 10° to 80°), sorted by position:
Position (°2θ), d_spacing, I (rel.), h k l
25.02, 3.559, 28, 1 0 1
30.68, 2.914, 45, 1 1 2
33.66, 2.663, 86, 0 3 3
34.13, 2.627, 100, 1 4 1
34.54, 2.597, 28, 0 6 0
34.83, 2.576, 71, 1 3 2
37.22, 2.416, 22, 1 0 3
39.04, 2.307, 22, 1 2 3
47.19, 1.926, 33, 2 0 0
59.21, 1.560, 34, 2 3 3

Cell and atoms:
Cell: 3.8517 15.5793 9.3041 Å, 90.00 90.00 90.00°
Space group Imm2 (No. 44)
Unique sites:
Dy  0.0000  0.1359  0.0000
Y  0.0000  0.0000  0.5830
Er  0.0000  0.3489  0.8502
Lu  0.0000  0.3126  0.2075
Fe  0.0000  0.2358  0.5145
Te  0.0000  0.0000  0.2487
Te  0.0000  0.5000  0.3464